Calculated X-ray powder pattern of Ac4Ir2F for CuKα, from DFT lattice parameters and positions (GGA-PBE).

Crystal structure
Cell: 7.270 4.434 7.552 Å, 90.00 109.38 90.00°
Positions (direct):
1 Ac 0.230 0.000 0.236
2 Ac 0.231 0.535 0.743
3 Ac 0.769 0.535 0.257
4 Ac 0.770 0.000 0.764
5 Ir 0.000 0.017 0.500
6 Ir 0.000 0.497 0.000
7 F 0.500 0.830 0.000

The 8 most intense peaks (10 to 90 degrees two-theta), by intensity:
hkl 1 1 1, d = 3.080 Å, 2θ = 28.99°, I = 100; hkl 2 0 -2, d = 3.022 Å, 2θ = 29.56°, I = 50; hkl 1 0 0, d = 6.858 Å, 2θ = 12.91°, I = 45; hkl 1 1 -3, d = 2.189 Å, 2θ = 41.24°, I = 40; hkl 3 1 -1, d = 2.126 Å, 2θ = 42.51°, I = 35; hkl 1 1 -1, d = 3.571 Å, 2θ = 24.94°, I = 33; hkl 2 2 -2, d = 1.787 Å, 2θ = 51.10°, I = 20; hkl 0 2 0, d = 2.217 Å, 2θ = 40.70°, I = 20